No. 1
Starting from a cell relaxed with PBE, the powder diffraction line list of Dy4TlInC was simulated for CuKα.

Top 10 peaks for 10 to 90 degrees two-theta, by intensity:
2θ = 34.9°, rel. 100, (2 4 0)
2θ = 36.2°, rel. 64, (2 0 2)
2θ = 28.1°, rel. 61, (2 2 0)
2θ = 64.4°, rel. 37, (4 4 2)
2θ = 51.8°, rel. 26, (2 6 2)
2θ = 52.2°, rel. 23, (4 0 0)
2θ = 35.7°, rel. 19, (0 6 0)
2θ = 25.4°, rel. 19, (2 0 0)
2θ = 60.3°, rel. 15, (4 2 2)
2θ = 34.8°, rel. 14, (1 5 1)

```
data_Dy4TlInC
_chemical_formula_sum 'Dy16 Tl4 In4 C4'
_cell_length_a 7.010
_cell_length_b 15.105
_cell_length_c 7.009
_cell_angle_alpha 90.00
_cell_angle_beta 90.00
_cell_angle_gamma 90.00
_space_group_name_H-M_alt 'C m c m'
_space_group_IT_number 63
_space_group_name_Hall '-C 2c 2'
loop_
_atom_site_label
_atom_site_type_symbol
_atom_site_fract_x
_atom_site_fract_y
_atom_site_fract_z
_atom_site_occupancy
Dy1 Dy 0.000 0.087 0.250 1
Dy2 Dy 0.000 0.412 0.250 1
Dy3 Dy 0.250 0.250 0.000 1
Tl1 Tl 0.000 0.118 0.750 1
In1 In 0.000 0.381 0.750 1
C1 C 0.000 0.250 0.250 1
```



No. 2
Starting from a cell relaxed with PBE, the powder diffraction line list of La5Pr12Sc2 was simulated for CuKα.

Top 10 peaks for 10 to 90 degrees two-theta, by intensity:
2θ = 29.7°, rel. 100, (4 2 -1)
2θ = 32.7°, rel. 40, (8 0 -2)
2θ = 36.1°, rel. 35, (2 2 2)
2θ = 31.1°, rel. 27, (6 0 1)
2θ = 30.3°, rel. 26, (2 0 -3)
2θ = 50.0°, rel. 13, (10 2 0)
2θ = 56.6°, rel. 13, (12 2 -3)
2θ = 49.1°, rel. 13, (6 2 -4)
2θ = 61.7°, rel. 11, (8 4 -2)
2θ = 33.0°, rel. 11, (0 2 2)

```
data_La5Pr12Sc2
_chemical_formula_sum 'La10 Pr24 Sc4'
_cell_length_a 22.787
_cell_length_b 7.197
_cell_length_c 8.899
_cell_angle_alpha 90.00
_cell_angle_beta 111.86
_cell_angle_gamma 90.00
_space_group_name_H-M_alt 'C 1 2/m 1'
_space_group_IT_number 12
loop_
_space_group_symop_operation_xyz
'x,y,z'
'-x,-y,-z'
'-x,y,-z'
'x,-y,z'
'x+1/2,y+1/2,z'
'-x+1/2,-y+1/2,-z'
'-x+1/2,y+1/2,-z'
'x+1/2,-y+1/2,z'
loop_
_atom_site_label
_atom_site_type_symbol
_atom_site_fract_x
_atom_site_fract_y
_atom_site_fract_z
_atom_site_occupancy
La1 La 0.000 0.000 0.000 1
La2 La 0.147 0.500 0.593 1
La3 La 0.245 0.000 0.983 1
Pr1 Pr 0.049 0.500 0.199 1
Pr2 Pr 0.104 0.257 0.873 1
Pr3 Pr 0.129 0.000 0.523 1
Pr4 Pr 0.203 0.252 0.292 1
Sc1 Sc 0.000 0.270 0.500 1
```